Calculated X-ray diffraction stick pattern
Compound: MgCo4Ag4O8
Radiation: Cu Kα X-rays
Structure: a cell relaxed with GGA+U
No peak broadening, texture or thermal motion is included.

Structural model:
```
MgCo4Ag4O8
1.0
2.646 -1.537 0.000
2.646 1.537 0.000
-0.108 0.000 26.713
Mg Co Ag O
1 4 4 8
Direct
0.000 0.000 0.000
0.331 0.331 0.446
0.331 0.331 0.679
0.663 0.663 0.906
0.664 0.664 0.214
0.334 0.334 0.093
0.665 0.665 0.563
0.993 0.993 0.330
0.997 0.997 0.795
0.334 0.334 0.967
0.338 0.338 0.177
0.665 0.665 0.484
0.665 0.665 0.642
0.994 0.994 0.252
0.996 0.996 0.875
0.997 0.997 0.409
0.998 0.998 0.717
```

Main lines, in order of falling intensity (2θ from 10° to 90°):
- 2θ 35.23, intensity 100
- 2θ 34.40, intensity 98
- 2θ 30.11, intensity 79
- 2θ 39.51, intensity 53
- 2θ 35.40, intensity 50
- 2θ 60.51, intensity 49
- 2θ 34.55, intensity 47
- 2θ 26.70, intensity 46
- 2θ 36.37, intensity 39
- 2θ 37.80, intensity 38